# 1
For Na2MnFeF7, a crystal structure in the Materials Project, relaxed with PBE+U gives the calculated powder diffractogram in this record (Cu Kα (λ = 1.5418 Å)).
Lines closer than 0.1° are merged.

```
data_Na2MnFeF7
_space_group_name_H-M_alt 'I m m a'
_space_group_IT_number 74
_space_group_name_Hall '-I 2b 2'
_cell_length_a 7.482
_cell_length_b 10.784
_cell_length_c 7.713
_cell_angle_alpha 90.00
_cell_angle_beta 90.00
_cell_angle_gamma 90.00
loop_
_atom_site_label
_atom_site_type_symbol
_atom_site_fract_x
_atom_site_fract_y
_atom_site_fract_z
_atom_site_occupancy
Na1 Na 0.000 0.000 0.000 1
Na2 Na 0.250 0.250 0.250 1
Mn1 Mn 0.250 0.250 0.750 1
Fe1 Fe 0.000 0.000 0.500 1
F1 F 0.000 0.087 0.272 1
F2 F 0.000 0.250 0.871 1
F3 F 0.193 0.112 0.562 1
```

Largest 6 diffraction maxima, in order of rising 2θ, 2θ from 10° to 80°:
- hkl 0 1 1, 14.12 deg, intensity 48
- hkl 1 0 1, 16.50 deg, intensity 46
- hkl 1 2 1, 23.38 deg, intensity 42
- hkl 0 2 2, 28.45 deg, intensity 100
- hkl 2 2 0, 29.05 deg, intensity 90
- hkl 2 4 2, 47.81 deg, intensity 88

# 2
For MnFe2Pb2O3F12, a crystal structure in the Materials Project, relaxed with PBE+U gives the calculated powder diffractogram in this record (Cu Kα (λ = 1.5418 Å)).
Lines closer than 0.1° are merged.

```
data_MnFe2Pb2O3F12
_space_group_name_H-M_alt 'A m m 2'
_space_group_IT_number 38
_cell_length_a 4.019
_cell_length_b 16.003
_cell_length_c 9.194
_cell_angle_alpha 90.00
_cell_angle_beta 90.00
_cell_angle_gamma 90.00
loop_
_space_group_symop_operation_xyz
'x,y,z'
'-x,-y,z'
'-x,y,z'
'x,-y,z'
'x,y+1/2,z+1/2'
'-x,-y+1/2,z+1/2'
'-x,y+1/2,z+1/2'
'x,-y+1/2,z+1/2'
loop_
_atom_site_label
_atom_site_type_symbol
_atom_site_fract_x
_atom_site_fract_y
_atom_site_fract_z
_atom_site_occupancy
Mn1 Mn 0.000 0.000 0.000 1
Fe1 Fe 0.000 0.119 0.645 1
Pb1 Pb 0.500 0.166 0.263 1
O1 O 0.500 0.000 0.332 1
O2 O 0.500 0.216 0.978 1
F1 F 0.000 0.000 0.596 1
F2 F 0.000 0.085 0.142 1
F3 F 0.000 0.085 0.852 1
F4 F 0.000 0.146 0.442 1
F5 F 0.000 0.234 0.706 1
F6 F 0.500 0.000 0.004 1
F7 F 0.500 0.121 0.645 1
```

Largest 6 diffraction maxima, in order of rising 2θ, 2θ from 10° to 80°:
- hkl 0 0 2, 19.26 deg, intensity 87
- hkl 0 4 0, 22.27 deg, intensity 34
- hkl 1 1 1, 24.80 deg, intensity 55
- hkl 1 3 1, 29.50 deg, intensity 100
- hkl 0 1 3, 29.64 deg, intensity 30
- hkl 1 3 3, 40.71 deg, intensity 32

# 3
For FeN2F5, a crystal structure in the Materials Project, relaxed with PBE+U gives the calculated powder diffractogram in this record (Cu Kα (λ = 1.5418 Å)).
Lines closer than 0.1° are merged.

```
data_FeN2F5
_space_group_name_H-M_alt 'P n m a'
_space_group_IT_number 62
_cell_length_a 5.979
_cell_length_b 7.568
_cell_length_c 10.456
_cell_angle_alpha 90.00
_cell_angle_beta 90.00
_cell_angle_gamma 90.00
loop_
_space_group_symop_operation_xyz
'x,y,z'
'-x,-y,-z'
'-x+1/2,-y,z+1/2'
'x+1/2,y,-z+1/2'
'x+1/2,-y+1/2,-z+1/2'
'-x+1/2,y+1/2,z+1/2'
'-x,y+1/2,-z'
'x,-y+1/2,z'
loop_
_atom_site_label
_atom_site_type_symbol
_atom_site_fract_x
_atom_site_fract_y
_atom_site_fract_z
_atom_site_occupancy
Fe1 Fe 0.000 0.000 0.000 1
N1 N 0.010 0.250 0.356 1
N2 N 0.068 0.750 0.305 1
F1 F 0.093 0.250 0.992 1
F2 F 0.106 0.529 0.838 1
F3 F 0.226 0.053 0.564 1
```

Largest 6 diffraction maxima, in order of rising 2θ, 2θ from 10° to 80°:
- hkl 0 0 2, 16.96 deg, intensity 52
- hkl 1 0 1, 17.08 deg, intensity 100
- hkl 0 2 0, 23.51 deg, intensity 27
- hkl 1 2 1, 29.18 deg, intensity 60
- hkl 1 0 3, 29.67 deg, intensity 20
- hkl 1 4 1, 51.39 deg, intensity 13